For La6YCo3, a PBE-relaxed structure gives the calculated XRD peak list in this record (λ = 1.5418 Å (Cu Kα)).

Structural model:
Cell lengths 11.2607, 13.6661, 7.2442 Å; angles 90.00, 90.00, 90.00 degrees
Space group Cmc2_1 (No. 36)
Symmetry-distinct sites (fractional):
La 0.0000 0.0273 0.0000
La 0.0000 0.3304 0.1159
La 0.1667 0.4537 0.4890
La 0.2248 0.1840 0.3658
Y 0.0000 0.2226 0.6726
Co 0.0000 0.4097 0.8077
Co 0.1998 0.1048 0.6913

Largest 12 diffraction maxima, most intense first, 5 to 70 degrees two-theta:
hkl  2θ/deg  I (rel.)
0 4 1  28.89  100
3 1 2  35.05  77
2 4 1  33.07  72
3 3 0  30.87  70
0 2 3  39.58  47
2 2 2  32.17  47
3 3 1  33.31  47
3 1 1  27.55  44
0 2 2  27.88  42
2 0 2  29.32  38
3 1 4  56.86  36
4 0 0  31.79  32



For La2YCo, a PBE-relaxed structure gives the calculated XRD peak list in this record (λ = 1.5418 Å (Cu Kα)).

Structural model:
Cell lengths 3.6882, 5.6536, 10.7028 Å; angles 90.00, 90.00, 90.00 degrees
Space group Immm (No. 71)
Symmetry-distinct sites (fractional):
La 0.0000 0.0000 0.1865
Y 0.0000 0.5000 0.0000
Co 0.0000 0.5000 0.5000

Largest 12 diffraction maxima, most intense first, 5 to 70 degrees two-theta:
hkl  2θ/deg  I (rel.)
1 1 2  33.50  100
0 1 3  29.61  45
0 2 0  31.65  43
1 3 2  57.56  20
1 0 3  34.99  18
1 2 3  47.90  15
1 0 1  25.55  15
2 2 0  59.89  14
2 1 3  58.67  13
2 0 0  49.42  12
1 2 5  59.70  12
0 1 1  17.74  12